1.
This entry pairs a crystal structure of Ba4Si22Au with its calculated PXRD pattern. Radiation: Cu Ka. Structure: a crystal structure in the Materials Project, relaxed with PBE.
No peak broadening, texture or thermal motion is included.

Most intense lines, 10 to 90 degrees two-theta, low angle first:
2θ/deg, I (rel.), (hkl)
20.82, 62, 1 3 1
29.60, 57, 2 4 0
32.00, 100, 3 3 1
32.10, 64, 1 1 5
34.40, 31, 0 4 4
54.17, 39, 3 7 3

Cell and atoms:
a b c (Å): 10.505 14.748 14.745
angles (deg): 90.00 90.00 90.00
Space group Ama2 (No. 40)
Symmetry-distinct sites (fractional):
Ba  0.000  0.000  0.000 x4
Ba  0.250  0.124  0.355 x4
Ba  0.250  0.252  0.740 x4
Ba  0.250  0.368  0.113 x4
Si  0.000  0.000  0.487 x4
Si  0.055  0.192  0.180 x8
Si  0.056  0.312  0.298 x8
Si  0.064  0.248  0.554 x8
Si  0.064  0.249  0.923 x8
Si  0.064  0.433  0.741 x8
Si  0.066  0.064  0.738 x8
Si  0.128  0.403  0.894 x8
Si  0.132  0.095  0.585 x8
Si  0.250  0.037  0.832 x4
Si  0.250  0.157  0.949 x4
Si  0.250  0.341  0.528 x4
Si  0.250  0.374  0.366 x4
Si  0.250  0.460  0.649 x4
Au  0.250  0.124  0.114 x4

---

2.
This entry pairs a crystal structure of Ba2ScO3F with its calculated PXRD pattern. Radiation: Cu Ka. Structure: a crystal structure in the Materials Project, relaxed with PBE.
No peak broadening, texture or thermal motion is included.

Most intense lines, 10 to 90 degrees two-theta, low angle first:
2θ/deg, I (rel.), (hkl)
22.22, 41, 1 0 1
28.86, 100, 1 0 3
30.23, 82, 1 1 0
40.17, 53, 1 1 4
43.28, 43, 2 0 0
52.85, 37, 2 1 3

Cell and atoms:
a b c (Å): 4.181 4.181 13.796
angles (deg): 90.00 90.00 90.00
Space group I4mm (No. 107)
Symmetry-distinct sites (fractional):
Ba  0.000  0.000  0.000 x2
Ba  0.000  0.000  0.274 x2
Sc  0.000  0.000  0.624 x2
O  0.000  0.000  0.477 x2
O  0.000  0.500  0.144 x4
F  0.000  0.000  0.806 x2

---

3.
This entry pairs a crystal structure of Mn7Sb4 with its calculated PXRD pattern. Radiation: Cu Ka. Structure: a crystal structure in the Materials Project, relaxed with PBE.
No peak broadening, texture or thermal motion is included.

Most intense lines, 10 to 90 degrees two-theta, low angle first:
2θ/deg, I (rel.), (hkl)
28.39, 29, 1 0 2
40.59, 100, 1 1 0
53.19, 12, 1 1 4
58.74, 14, 2 0 4
73.88, 22, 3 0 0
83.14, 12, 1 1 8

Cell and atoms:
a b c (Å): 4.4425 4.4425 10.9060
angles (deg): 90.00 90.00 120.00
Space group P-6m2 (No. 187)
Symmetry-distinct sites (fractional):
Mn  0.0000  0.0000  0.0000 x1
Mn  0.3333  0.6667  0.1255 x2
Mn  0.3333  0.6667  0.3742 x2
Mn  0.6667  0.3333  0.2435 x2
Sb  0.0000  0.0000  0.2590 x2
Sb  0.6667  0.3333  0.0000 x1
Sb  0.6667  0.3333  0.5000 x1

---

4.
This entry pairs a crystal structure of CaTi3O7 with its calculated PXRD pattern. Radiation: Cu Ka. Structure: a crystal structure in the Materials Project, relaxed with PBE.
No peak broadening, texture or thermal motion is included.

Most intense lines, 10 to 90 degrees two-theta, low angle first:
2θ/deg, I (rel.), (hkl)
16.19, 89, 2 0 0
24.55, 37, 2 1 1
28.63, 100, 2 2 1
30.18, 29, 0 3 1
48.71, 23, 1 4 2
55.92, 21, 6 2 1

Cell and atoms:
a b c (Å): 10.948 10.582 5.444
angles (deg): 90.00 90.00 90.00
Space group Pnma (No. 62)
Symmetry-distinct sites (fractional):
Ca  0.067  0.250  0.174 x4
Ti  0.193  0.527  0.699 x8
Ti  0.218  0.750  0.190 x4
O  0.048  0.580  0.717 x8
O  0.065  0.750  0.169 x4
O  0.219  0.119  0.457 x8
O  0.224  0.120  0.934 x8

---

5.
This entry pairs a crystal structure of Pr3Ga2Ni2 with its calculated PXRD pattern. Radiation: Cu Ka. Structure: a crystal structure in the Materials Project, relaxed with PBE.
No peak broadening, texture or thermal motion is included.

Most intense lines, 10 to 90 degrees two-theta, low angle first:
2θ/deg, I (rel.), (hkl)
29.98, 57, 0 2 3
32.66, 82, 2 1 0
33.70, 62, 1 1 4
35.91, 95, 1 3 0
39.02, 100, 2 1 3
56.66, 54, 3 2 3

Cell and atoms:
a b c (Å): 5.810 8.313 12.826
angles (deg): 90.00 90.00 90.00
Space group Pbcm (No. 57)
Symmetry-distinct sites (fractional):
Pr  0.146  0.245  0.250 x4
Pr  0.353  0.606  0.599 x8
Ga  0.136  0.250  0.000 x4
Ga  0.342  0.600  0.250 x4
Ni  0.118  0.531  0.088 x8

---

6.
This entry pairs a crystal structure of SrO with its calculated PXRD pattern. Radiation: Cu Ka. Structure: a crystal structure in the Materials Project, relaxed with PBE.
No peak broadening, texture or thermal motion is included.

Most intense lines, 10 to 90 degrees two-theta, low angle first:
2θ/deg, I (rel.), (hkl)
29.72, 90, 1 1 1
34.45, 100, 2 0 0
49.52, 67, 2 2 0
58.83, 42, 3 1 1
61.72, 22, 2 2 2
82.94, 29, 4 2 0

Cell and atoms:
a b c (Å): 5.206 5.206 5.206
angles (deg): 90.00 90.00 90.00
Space group Fm-3m (No. 225)
Symmetry-distinct sites (fractional):
Sr  0.000  0.000  0.000 x4
O  0.000  0.000  0.500 x4

---

7.
This entry pairs a crystal structure of Cs2HgBiBr6 with its calculated PXRD pattern. Radiation: Cu Ka. Structure: a crystal structure in the Materials Project, relaxed with PBE.
No peak broadening, texture or thermal motion is included.

Most intense lines, 10 to 90 degrees two-theta, low angle first:
2θ/deg, I (rel.), (hkl)
15.08, 37, 2 0 0
21.39, 88, 2 2 0
30.43, 100, 4 0 0
37.50, 43, 4 2 2
43.57, 74, 4 4 0
71.86, 34, 8 4 0

Cell and atoms:
a b c (Å): 11.751 11.751 11.751
angles (deg): 90.00 90.00 90.00
Space group Fm-3m (No. 225)
Symmetry-distinct sites (fractional):
Cs  0.250  0.250  0.250 x8
Hg  0.000  0.000  0.000 x4
Bi  0.000  0.000  0.500 x4
Br  0.000  0.000  0.255 x24